Structure and computed X-ray diffraction stick pattern of AlGaHgTe2Se2 (DFT lattice parameters and positions (PBE); Cu Kα, 1.54184 Å).
Kinematic intensities with the Lorentz-polarization factor, no thermal factor.

Top 10 peaks for 2θ from 10° to 90°, in order of rising 2θ:
| Position (°2θ) | I_rel |
| --- | --- |
| 20.61 | 81 |
| 25.53 | 100 |
| 25.71 | 98 |
| 26.05 | 86 |
| 26.33 | 86 |
| 33.65 | 49 |
| 41.85 | 51 |
| 41.99 | 48 |
| 42.64 | 48 |
| 43.24 | 44 |

Structure:
```
7
Lattice="6.073 0.000 0.000 -0.017 6.122 0.000 -2.958 -2.879 5.706" Properties=species:S:1:pos:R:3 pbc="T T T"
Al 0.000 0.000 0.000
Ga -0.122 3.262 2.845
Hg 2.924 0.081 2.871
Te 1.268 1.723 4.511
Te 4.487 1.767 1.198
Se -1.467 -1.486 4.385
Se 1.313 4.573 1.321
```

***

Structure and computed X-ray diffraction stick pattern of AlGaHgTeSe3 (DFT lattice parameters and positions (PBE); Cu Kα, 1.54184 Å).
Kinematic intensities with the Lorentz-polarization factor, no thermal factor.

Top 10 peaks for 2θ from 10° to 90°, in order of rising 2θ:
| Position (°2θ) | I_rel |
| --- | --- |
| 21.23 | 32 |
| 26.10 | 50 |
| 26.31 | 100 |
| 26.97 | 41 |
| 34.06 | 29 |
| 42.11 | 27 |
| 43.23 | 26 |
| 43.65 | 23 |
| 44.29 | 22 |
| 44.83 | 40 |

Structure:
```
7
Lattice="5.946 0.000 0.000 -0.151 6.044 0.000 -2.832 -2.885 5.572" Properties=species:S:1:pos:R:3 pbc="T T T"
Al 0.000 0.000 0.000
Ga -0.024 3.207 2.876
Hg 3.076 0.131 2.837
Te 1.511 1.821 1.213
Se -1.345 1.799 4.404
Se 1.512 -1.482 4.401
Se 4.485 4.504 1.349
```

***

Structure and computed X-ray diffraction stick pattern of AlGaHgTe2Se2 (DFT lattice parameters and positions (PBE); Cu Kα, 1.54184 Å).
Kinematic intensities with the Lorentz-polarization factor, no thermal factor.

Top 10 peaks for 2θ from 10° to 90°, in order of rising 2θ:
| Position (°2θ) | I_rel |
| --- | --- |
| 15.61 | 20 |
| 21.00 | 34 |
| 25.57 | 100 |
| 26.27 | 83 |
| 32.99 | 28 |
| 33.63 | 22 |
| 40.91 | 26 |
| 42.75 | 22 |
| 43.29 | 40 |
| 43.79 | 42 |

Structure:
```
7
Lattice="4.231 -5.676 0.000 4.231 5.676 0.000 -4.128 0.000 4.412" Properties=species:S:1:pos:R:3 pbc="T T T"
Al 0.000 0.000 0.000
Ga 2.168 -3.041 2.206
Hg 2.168 2.717 2.206
Te 2.270 -1.369 0.137
Te 2.066 -1.369 4.275
Se -0.107 1.127 2.154
Se 4.443 1.127 2.258
```

***

Structure and computed X-ray diffraction stick pattern of Ho2Al3Ga3 (DFT lattice parameters and positions (PBE); Cu Kα, 1.54184 Å).
Kinematic intensities with the Lorentz-polarization factor, no thermal factor.

Top 10 peaks for 2θ from 10° to 90°, in order of rising 2θ:
| Position (°2θ) | I_rel |
| --- | --- |
| 25.58 | 50 |
| 28.51 | 22 |
| 33.04 | 29 |
| 38.67 | 100 |
| 39.67 | 21 |
| 52.55 | 15 |
| 59.01 | 17 |
| 71.33 | 16 |
| 72.81 | 13 |
| 73.47 | 18 |

Structure:
```
8
Lattice="6.261 0.000 0.000 -3.131 5.422 0.000 0.000 0.000 4.544" Properties=species:S:1:pos:R:3 pbc="T T T"
Ho 0.000 0.000 0.000
Ho 0.000 3.615 2.272
Al 1.748 1.009 2.272
Al 4.513 1.009 2.272
Al 3.131 3.404 2.272
Ga 3.131 0.199 0.000
Ga 1.738 2.611 0.000
Ga 4.523 2.611 0.000
```

***

Structure and computed X-ray diffraction stick pattern of Ho2Al3Ga3 (DFT lattice parameters and positions (PBE); Cu Kα, 1.54184 Å).
Kinematic intensities with the Lorentz-polarization factor, no thermal factor.

Top 10 peaks for 2θ from 10° to 90°, in order of rising 2θ:
| Position (°2θ) | I_rel |
| --- | --- |
| 16.41 | 16 |
| 25.49 | 51 |
| 28.61 | 22 |
| 33.15 | 26 |
| 38.69 | 100 |
| 39.34 | 22 |
| 52.37 | 14 |
| 59.26 | 11 |
| 70.89 | 17 |
| 73.47 | 12 |

Structure:
```
8
Lattice="4.580 0.000 0.000 0.000 3.124 5.398 0.000 -3.124 5.398" Properties=species:S:1:pos:R:3 pbc="T T T"
Ho 0.000 0.000 0.000
Ho 2.290 0.000 3.603
Al 0.000 0.000 5.619
Al 2.290 -1.381 6.409
Al 2.290 1.381 6.409
Ga 0.000 -1.398 7.999
Ga 0.000 1.398 7.999
Ga 2.290 0.000 8.812
```

***

Structure and computed X-ray diffraction stick pattern of Ho2AlGaIr4 (DFT lattice parameters and positions (PBE); Cu Kα, 1.54184 Å).
Kinematic intensities with the Lorentz-polarization factor, no thermal factor.

Top 10 peaks for 2θ from 10° to 90°, in order of rising 2θ:
| Position (°2θ) | I_rel |
| --- | --- |
| 23.85 | 37 |
| 38.41 | 100 |
| 41.93 | 62 |
| 48.81 | 6 |
| 58.17 | 30 |
| 67.03 | 9 |
| 74.25 | 30 |
| 76.60 | 11 |
| 77.32 | 15 |
| 82.29 | 5 |

Structure:
```
8
Lattice="4.309 0.000 0.000 -2.154 3.732 0.000 0.000 0.000 9.033" Properties=species:S:1:pos:R:3 pbc="T T T"
Ho 0.000 2.488 2.250
Ho 2.154 1.244 6.783
Al 0.000 0.000 4.517
Ga 0.000 0.000 0.000
Ir 0.000 2.488 5.275
Ir 0.000 2.488 8.259
Ir 2.154 1.244 0.774
Ir 2.154 1.244 3.758
```